Calculated powder diffractogram
Compound: Ce5PuOs2
Radiation: Cu Kα
Structure: a structure optimized by DFT (PBE)
No peak broadening, texture or thermal motion is included.

Crystal structure
Cell: 8.950 8.950 7.234 Å, 100.17 100.17 43.62°
Fractional coordinates of all 16 atoms:
Ce 0.059 0.941 0.750
Ce 0.101 0.321 0.322
Ce 0.321 0.101 0.822
Ce 0.338 0.485 0.076
Ce 0.485 0.338 0.576
Ce 0.515 0.662 0.424
Ce 0.662 0.515 0.924
Ce 0.679 0.899 0.178
Ce 0.899 0.679 0.678
Ce 0.941 0.059 0.250
Pu 0.000 0.500 0.000
Pu 0.500 0.000 0.500
Os 0.113 0.686 0.399
Os 0.314 0.887 0.101
Os 0.686 0.113 0.899
Os 0.887 0.314 0.601

Largest 12 diffraction maxima, in order of rising 2θ, 2θ from 10° to 90°:
2θ (°)  d/Å  I/Imax
22.9  3.881  62.1
26.1  3.408  36.1
30.5  2.932  88.4
32.5  2.754  44.2
32.9  2.719  47.0
35.1  2.558  86.5
37.6  2.389  66.9
39.8  2.265  100.0
40.1  2.248  44.2
40.7  2.216  38.6
45.1  2.011  58.4
46.9  1.935  39.4

=====

Calculated powder diffractogram
Compound: SrZn10Cu2
Radiation: Cu Kα
Structure: a structure optimized by DFT (PBE)
No peak broadening, texture or thermal motion is included.

Crystal structure
Cell: 9.146 6.965 6.907 Å, 82.50 49.02 48.48°
Fractional coordinates of all 13 atoms:
Sr 0.000 0.000 0.000
Zn 0.000 0.000 0.500
Zn 0.009 0.353 0.647
Zn 0.273 0.494 0.506
Zn 0.353 0.009 0.991
Zn 0.494 0.273 0.727
Zn 0.500 0.500 0.000
Zn 0.506 0.727 0.273
Zn 0.647 0.991 0.009
Zn 0.727 0.506 0.494
Zn 0.991 0.647 0.353
Cu 0.000 0.500 0.000
Cu 0.500 0.000 0.500

Largest 12 diffraction maxima, in order of rising 2θ, 2θ from 10° to 90°:
2θ (°)  d/Å  I/Imax
34.4  2.604  54.7
35.8  2.505  22.3
39.4  2.287  100.0
39.7  2.271  70.9
40.0  2.255  61.6
41.1  2.197  96.6
44.1  2.053  20.5
44.5  2.037  25.3
44.6  2.032  23.6
45.7  1.984  41.4
45.9  1.977  48.6
72.6  1.302  30.7

=====

Calculated powder diffractogram
Compound: TaV7Ga5
Radiation: Cu Kα
Structure: a structure optimized by DFT (PBE)
No peak broadening, texture or thermal motion is included.

Crystal structure
Cell: 6.647 6.647 6.647 Å, 135.68 98.62 97.74°
Fractional coordinates of all 13 atoms:
Ta 0.000 0.000 0.000
V 0.182 0.495 0.687
V 0.210 0.710 0.500
V 0.350 0.988 0.363
V 0.363 0.363 0.000
V 0.607 0.607 0.000
V 0.625 0.988 0.637
V 0.808 0.495 0.313
Ga 0.490 0.493 0.499
Ga 0.490 0.992 0.997
Ga 0.763 0.263 0.500
Ga 0.994 0.493 0.003
Ga 0.994 0.992 0.501

Largest 12 diffraction maxima, in order of rising 2θ, 2θ from 10° to 90°:
2θ (°)  d/Å  I/Imax
14.4  6.155  14.2
29.0  3.077  61.7
35.6  2.520  16.8
35.9  2.504  29.3
41.3  2.186  27.8
41.5  2.176  68.5
41.6  2.171  100.0
41.7  2.167  21.6
46.8  1.943  25.4
60.1  1.540  18.7
68.3  1.374  18.3
75.5  1.260  13.1